# 1
Simulated powder X-ray diffraction pattern of CsTiCu3Se4 for copper Kα, from a structure optimized by DFT (GGA-PBE).
Intensities are scaled so that the largest is 100.

Cell and atoms:
Lattice parameters (Å, degrees): 6.320 6.320 6.320 90.00 90.00 90.00
Space group P-43m (No. 215)
Asymmetric unit:
Cs  0.000  0.000  0.000 x1
Ti  0.500  0.500  0.500 x1
Cu  0.000  0.500  0.500 x3
Se  0.284  0.284  0.716 x4

Top 6 peaks for 15 to 90 degrees two-theta, in order of falling intensity:
24.39°, intensity 100, hkl 1 1 1; 40.36°, intensity 96, hkl 2 2 0; 47.73°, intensity 41, hkl 3 1 1; 73.39°, intensity 23, hkl 4 2 2; 19.87°, intensity 22, hkl 1 1 0; 34.77°, intensity 17, hkl 2 1 1

# 2
Simulated powder X-ray diffraction pattern of TbAl4 for copper Kα, from a structure optimized by DFT (GGA-PBE).
Intensities are scaled so that the largest is 100.

Cell and atoms:
Lattice parameters (Å, degrees): 4.448 6.300 13.712 90.00 90.00 90.00
Space group Imma (No. 74)
Asymmetric unit:
Tb  0.000  0.250  0.113 x4
Al  0.000  0.000  0.500 x4
Al  0.000  0.035  0.698 x8
Al  0.000  0.250  0.888 x4

Top 6 peaks for 15 to 90 degrees two-theta, in order of falling intensity:
27.79°, intensity 100, hkl 1 1 2; 35.53°, intensity 95, hkl 1 2 1; 38.57°, intensity 71, hkl 1 0 5; 15.48°, intensity 56, hkl 0 1 1; 24.05°, intensity 53, hkl 0 1 3; 38.83°, intensity 52, hkl 0 2 4

# 3
Simulated powder X-ray diffraction pattern of Ce2US5 for copper Kα, from a structure optimized by DFT (GGA-PBE).
Intensities are scaled so that the largest is 100.

Cell and atoms:
Lattice parameters (Å, degrees): 11.785 8.079 7.433 90.00 90.00 90.00
Space group Pnma (No. 62)
Asymmetric unit:
Ce  0.176  0.001  0.031 x8
U  0.007  0.250  0.568 x4
S  0.001  0.250  0.953 x4
S  0.093  0.540  0.667 x8
S  0.190  0.250  0.336 x4
S  0.215  0.750  0.311 x4

Top 6 peaks for 15 to 90 degrees two-theta, in order of falling intensity:
25.65°, intensity 100, hkl 3 0 1; 26.22°, intensity 88, hkl 1 2 1; 36.21°, intensity 69, hkl 2 2 2; 26.76°, intensity 65, hkl 2 2 0; 46.23°, intensity 58, hkl 6 0 0; 23.94°, intensity 46, hkl 0 0 2

# 4
Simulated powder X-ray diffraction pattern of Gd3YO6 for copper Kα, from a structure optimized by DFT (GGA-PBE).
Intensities are scaled so that the largest is 100.

Cell and atoms:
Lattice parameters (Å, degrees): 9.119 11.320 5.784 90.00 90.00 90.00
Space group Cmc2_1 (No. 36)
Asymmetric unit:
Gd  0.000  0.102  0.000 x4
Gd  0.201  0.388  0.946 x8
Y  0.000  0.337  0.433 x4
O  0.000  0.278  0.793 x4
O  0.000  0.484  0.159 x4
O  0.161  0.240  0.234 x8
O  0.162  0.018  0.728 x8

Top 6 peaks for 15 to 90 degrees two-theta, in order of falling intensity:
29.52°, intensity 100, hkl 2 2 1; 29.92°, intensity 20, hkl 1 3 1; 44.81°, intensity 20, hkl 0 4 2; 30.92°, intensity 19, hkl 0 0 2; 54.13°, intensity 15, hkl 2 2 3; 31.62°, intensity 14, hkl 0 4 0

# 5
Simulated powder X-ray diffraction pattern of KSm2N7 for copper Kα, from a structure optimized by DFT (GGA-PBE).
Intensities are scaled so that the largest is 100.

Cell and atoms:
Lattice parameters (Å, degrees): 6.461 12.329 15.004 90.00 90.00 90.00
Space group Pnnm (No. 58)
Asymmetric unit:
K  0.171  0.187  0.000 x4
Sm  0.120  0.667  0.229 x8
N  0.000  0.500  0.254 x4
N  0.100  0.372  0.402 x8
N  0.136  0.233  0.178 x8
N  0.157  0.288  0.384 x8

Top 6 peaks for 15 to 90 degrees two-theta, in order of falling intensity:
31.00°, intensity 100, hkl 2 1 2; 28.37°, intensity 81, hkl 1 3 2; 23.68°, intensity 69, hkl 0 0 4; 15.48°, intensity 66, hkl 1 1 0; 23.20°, intensity 65, hkl 1 2 2; 19.91°, intensity 63, hkl 1 2 0

# 6
Simulated powder X-ray diffraction pattern of TbCdAu2 for copper Kα, from a structure optimized by DFT (GGA-PBE).
Intensities are scaled so that the largest is 100.

Cell and atoms:
Lattice parameters (Å, degrees): 7.010 7.010 7.010 90.00 90.00 90.00
Space group Fm-3m (No. 225)
Asymmetric unit:
Tb  0.000  0.000  0.000 x4
Cd  0.000  0.000  0.500 x4
Au  0.250  0.250  0.250 x8

Top 6 peaks for 15 to 90 degrees two-theta, in order of falling intensity:
36.25°, intensity 100, hkl 2 2 0; 65.20°, intensity 36, hkl 4 2 2; 52.20°, intensity 18, hkl 4 0 0; 88.14°, intensity 17, hkl 6 2 0; 76.94°, intensity 11, hkl 4 4 0; 25.41°, intensity 4, hkl 2 0 0

# 7
Simulated powder X-ray diffraction pattern of Na2Li4Ti3AlP6O24 for copper Kα, from a structure optimized by DFT (GGA-PBE).
Intensities are scaled so that the largest is 100.

Cell and atoms:
Lattice parameters (Å, degrees): 8.764 8.780 8.782 60.31 60.13 60.19
Space group P1 (No. 1)
Asymmetric unit:
Na  0.000  0.000  0.000 x1
Na  0.484  0.490  0.492 x1
Li  0.243  0.846  0.649 x1
Li  0.747  0.346  0.732 x1
Li  0.748  0.157  0.340 x1
Li  0.748  0.739  0.151 x1
Ti  0.061  0.637  0.638 x1
Ti  0.427  0.853  0.853 x1
Ti  0.550  0.149  0.139 x1
Al  0.945  0.349  0.339 x1
P  0.241  0.246  0.534 x1
P  0.242  0.541  0.953 x1
P  0.243  0.959  0.243 x1
P  0.742  0.740  0.454 x1
P  0.748  0.459  0.039 x1
P  0.754  0.043  0.730 x1
O  0.067  0.500  0.118 x1
O  0.068  0.127  0.286 x1
O  0.068  0.298  0.488 x1
O  0.234  0.406  0.566 x1
O  0.238  0.068  0.707 x1
O  0.238  0.729  0.930 x1
O  0.241  0.570  0.764 x1
O  0.241  0.783  0.419 x1
O  0.244  0.934  0.081 x1
O  0.428  0.201  0.375 x1
O  0.428  0.385  0.972 x1
O  0.429  0.984  0.191 x1
O  0.560  0.774  0.619 x1
O  0.574  0.626  0.014 x1
O  0.583  0.011  0.760 x1
O  0.738  0.902  0.265 x1
O  0.741  0.079  0.894 x1
O  0.741  0.269  0.072 x1
O  0.760  0.569  0.424 x1
O  0.762  0.428  0.225 x1
O  0.764  0.227  0.561 x1
O  0.911  0.711  0.488 x1
O  0.921  0.486  0.870 x1
O  0.934  0.876  0.700 x1

Top 6 peaks for 15 to 90 degrees two-theta, in order of falling intensity:
23.71°, intensity 100, hkl 1 -1 1; 32.23°, intensity 56, hkl -1 2 1; 20.19°, intensity 51, hkl 0 1 -1; 23.79°, intensity 49, hkl 2 2 1; 28.73°, intensity 23, hkl 0 2 2; 35.30°, intensity 20, hkl 1 3 0

# 8
Simulated powder X-ray diffraction pattern of Zn22Ni3 for copper Kα, from a structure optimized by DFT (GGA-PBE).
Intensities are scaled so that the largest is 100.

Cell and atoms:
Lattice parameters (Å, degrees): 13.366 7.438 7.652 90.00 110.51 90.00
Space group C2/m (No. 12)
Asymmetric unit:
Zn  0.000  0.178  0.000 x4
Zn  0.024  0.500  0.176 x4
Zn  0.042  0.198  0.689 x8
Zn  0.148  0.000  0.273 x4
Zn  0.157  0.319  0.462 x8
Zn  0.169  0.500  0.784 x4
Zn  0.186  0.000  0.624 x4
Zn  0.192  0.310  0.100 x8
Ni  0.000  0.500  0.500 x2
Ni  0.158  0.000  0.946 x4

Top 6 peaks for 15 to 90 degrees two-theta, in order of falling intensity:
42.41°, intensity 100, hkl 3 3 0; 43.02°, intensity 79, hkl 2 2 -3; 42.71°, intensity 75, hkl 1 1 3; 43.96°, intensity 58, hkl 5 1 -3; 42.91°, intensity 46, hkl 4 2 1; 43.37°, intensity 43, hkl 6 0 0

# 9
Simulated powder X-ray diffraction pattern of Mg6NiC for copper Kα, from a structure optimized by DFT (GGA-PBE).
Intensities are scaled so that the largest is 100.

Cell and atoms:
Lattice parameters (Å, degrees): 3.776 8.233 9.008 90.00 90.00 90.00
Space group Amm2 (No. 38)
Asymmetric unit:
Mg  0.000  0.000  0.000 x2
Mg  0.000  0.000  0.381 x2
Mg  0.000  0.177  0.704 x4
Mg  0.500  0.250  0.445 x4
Ni  0.500  0.000  0.197 x2
C  0.500  0.000  0.839 x2

Top 6 peaks for 15 to 90 degrees two-theta, in order of falling intensity:
38.01°, intensity 100, hkl 1 2 2; 39.89°, intensity 53, hkl 1 1 3; 34.15°, intensity 33, hkl 0 3 1; 27.82°, intensity 27, hkl 1 1 1; 48.20°, intensity 19, hkl 2 0 0; 40.04°, intensity 17, hkl 0 0 4

Copy entry 2 word for word.
Simulated powder X-ray diffraction pattern of TbAl4 for copper Kα, from a structure optimized by DFT (GGA-PBE).
Intensities are scaled so that the largest is 100.

Cell and atoms:
Lattice parameters (Å, degrees): 4.448 6.300 13.712 90.00 90.00 90.00
Space group Imma (No. 74)
Asymmetric unit:
Tb  0.000  0.250  0.113 x4
Al  0.000  0.000  0.500 x4
Al  0.000  0.035  0.698 x8
Al  0.000  0.250  0.888 x4

Top 6 peaks for 15 to 90 degrees two-theta, in order of falling intensity:
27.79°, intensity 100, hkl 1 1 2; 35.53°, intensity 95, hkl 1 2 1; 38.57°, intensity 71, hkl 1 0 5; 15.48°, intensity 56, hkl 0 1 1; 24.05°, intensity 53, hkl 0 1 3; 38.83°, intensity 52, hkl 0 2 4

> Which formula does entry 1 have?

CsTiCu3Se4